Structure and computed PXRD pattern of AlMo3Se2ClO8 (a structure optimized by DFT (PBE+U); Cu Kα (λ = 1.5418 Å)).
Intensities are scaled so that the largest is 100.

Crystal structure
```
data_AlMo3Se2ClO8
_cell_length_a 6.567
_cell_length_b 7.283
_cell_length_c 9.685
_cell_angle_alpha 106.56
_cell_angle_beta 94.09
_cell_angle_gamma 92.87
_space_group_name_H-M_alt 'P 1'
_space_group_IT_number 1
loop_
_space_group_symop_operation_xyz
'x,y,z'
loop_
_atom_site_label
_atom_site_fract_x
_atom_site_fract_y
_atom_site_fract_z
_atom_site_occupancy
Al1 0.000 0.000 0.000 1
Al2 0.466 0.467 0.483 1
Mo1 0.494 0.985 0.979 1
Mo2 0.713 0.218 0.736 1
Mo3 0.735 0.729 0.250 1
Mo4 0.750 0.232 0.256 1
Mo5 0.757 0.717 0.728 1
Mo6 0.985 0.436 0.530 1
Se1 0.156 0.543 0.887 1
Se2 0.172 0.465 0.176 1
Se3 0.296 0.996 0.314 1
Se4 0.325 0.878 0.711 1
Cl1 0.611 0.457 0.990 1
Cl2 0.862 0.987 0.496 1
O1 0.002 0.369 0.749 1
O2 0.030 0.660 0.201 1
O3 0.204 0.470 0.360 1
O4 0.214 0.064 0.904 1
O5 0.248 0.979 0.129 1
O6 0.263 0.417 0.587 1
O7 0.419 0.086 0.674 1
O8 0.439 0.805 0.296 1
O9 0.480 0.194 0.361 1
O10 0.502 0.726 0.583 1
O11 0.687 0.417 0.608 1
O12 0.702 0.519 0.371 1
O13 0.767 0.944 0.121 1
O14 0.768 0.017 0.866 1
O15 0.978 0.732 0.908 1
O16 0.985 0.266 0.121 1
```

The 10 most intense peaks (10° ≤ 2θ ≤ 80°), sorted by position:
- (0 1 -1), 13.54°, I = 51
- (1 -1 0), 17.92°, I = 49
- (0 2 -2), 27.27°, I = 56
- (1 -2 0), 28.12°, I = 100
- (1 2 0), 29.96°, I = 53
- (1 -2 2), 30.48°, I = 51
- (1 2 -2), 30.62°, I = 91
- (2 0 -2), 32.08°, I = 78
- (2 0 2), 35.04°, I = 63
- (0 2 2), 36.53°, I = 51